For Pb4IF7, a GGA-PBE-relaxed structure gives the computed X-ray powder pattern in this record (a wavelength of 1.5418 Å).
Lines closer than 0.1° are merged.

Crystal structure
```
data_Pb4IF7
_chemical_formula_sum 'Pb16 I4 F28'
_symmetry_space_group_name_H-M 'C m c m'
_symmetry_Int_Tables_number 63
_symmetry_space_group_name_Hall '-C 2c 2'
_cell_length_a 6.1860
_cell_length_b 25.3925
_cell_length_c 6.0738
_cell_angle_alpha 90.00
_cell_angle_beta 90.00
_cell_angle_gamma 90.00
loop_
_atom_site_label
_atom_site_fract_x
_atom_site_fract_y
_atom_site_fract_z
Pb1 0.0000 0.0455 0.2500
Pb2 0.0000 0.1520 0.7500
Pb3 0.0000 0.3258 0.7500
Pb4 0.0000 0.4409 0.2500
I1 0.0000 0.2495 0.2500
F1 0.0000 0.0614 0.7500
F2 0.2262 0.5000 0.0000
F3 0.2309 0.3789 0.5173
```

Top 12 peaks for 10° ≤ 2θ ≤ 90°, by intensity:
- (1 5 1), 27.0 deg, d 3.297, I = 100
- (2 0 2), 41.7 deg, d 2.167, I = 28
- (2 0 0), 28.9 deg, d 3.093, I = 21
- (0 0 2), 29.4 deg, d 3.037, I = 20
- (3 5 1), 50.0 deg, d 1.822, I = 19
- (1 5 3), 50.7 deg, d 1.799, I = 18
- (2 10 0), 46.3 deg, d 1.963, I = 10
- (0 10 2), 46.6 deg, d 1.948, I = 10
- (3 5 3), 67.4 deg, d 1.390, I = 9
- (2 10 2), 55.8 deg, d 1.648, I = 9
- (0 10 0), 35.3 deg, d 2.539, I = 8
- (1 5 5), 83.2 deg, d 1.161, I = 6